[1]
Computed powder diffractogram
Compound: Tb5YZn6
Radiation: λ = 1.5418 Å (Cu Kα)
Structure: a cell relaxed with PBE
Neutral-atom scattering factors, no anomalous dispersion.

Structure:
```
Tb5YZn6
1.0
2.528 -7.585 0.000
2.528 7.585 0.000
0.000 0.000 7.194
Tb Y Zn
5 1 6
Cartesian
0.000 0.000 0.000
2.528 2.530 0.000
2.528 2.529 3.597
2.528 -2.530 0.000
2.528 -2.529 3.597
0.000 0.000 3.597
2.528 5.058 1.799
2.528 5.058 5.395
2.528 0.000 1.801
2.528 0.000 5.393
2.528 -5.058 1.799
2.528 -5.058 5.395
```

Main lines, low angle first (10° ≤ 2θ ≤ 90°):
2θ/deg  I_rel
24.90  14
35.40  100
35.51  50
50.76  9
51.09  17
63.48  18
63.69  35
74.89  11
85.40  8
85.95  15

[2]
Computed powder diffractogram
Compound: Tm5Rh3
Radiation: λ = 1.5418 Å (Cu Kα)
Structure: a cell relaxed with PBE
Neutral-atom scattering factors, no anomalous dispersion.

Structure:
```
Tm5Rh3
1.0
10.752 0.000 0.000
0.000 10.752 0.000
0.000 0.000 6.267
Tm Rh
20 12
Cartesian
0.441 1.742 0.769
0.441 3.634 3.903
1.742 0.441 3.903
1.742 4.935 0.769
2.688 8.064 0.000
2.688 8.064 3.134
3.634 0.441 0.769
3.634 4.935 3.903
4.935 1.742 3.903
4.935 3.634 0.769
5.817 7.118 5.498
5.817 9.010 2.364
7.118 5.817 2.364
7.118 10.311 5.498
8.064 2.688 0.000
8.064 2.688 3.134
9.010 5.817 5.498
9.010 10.311 2.364
10.311 7.118 2.364
10.311 9.010 5.498
1.030 6.406 4.700
1.030 9.722 1.567
2.688 2.688 2.358
2.688 2.688 5.491
4.346 6.406 1.567
4.346 9.722 4.700
6.406 1.030 1.567
6.406 4.346 4.700
8.064 8.064 0.776
8.064 8.064 3.909
9.722 1.030 4.700
9.722 4.346 1.567
```

Main lines, low angle first (10° ≤ 2θ ≤ 90°):
2θ/deg  I_rel
29.70  19
29.90  57
33.27  41
34.15  38
37.38  100
38.15  19
39.09  22
40.17  19
47.45  15
60.93  18

[3]
Computed powder diffractogram
Compound: La2TbSm3
Radiation: λ = 1.5418 Å (Cu Kα)
Structure: a cell relaxed with PBE
Neutral-atom scattering factors, no anomalous dispersion.

Structure:
```
La2TbSm3
1.0
7.121 0.000 0.000
0.000 10.010 0.000
0.000 0.000 5.794
La Tb Sm
4 2 6
Cartesian
1.774 1.675 0.000
1.787 6.680 2.897
5.334 3.330 2.897
5.348 8.335 0.000
0.000 0.000 2.897
3.561 5.005 0.000
0.000 5.005 0.000
1.779 3.329 2.897
1.782 8.334 0.000
3.561 0.000 2.897
5.340 1.676 0.000
5.342 6.681 2.897
```

Main lines, low angle first (10° ≤ 2θ ≤ 90°):
2θ/deg  I_rel
30.82  100
30.93  53
40.16  7
44.20  27
54.91  39
61.12  23
64.45  6
73.05  8
78.52  11
89.66  8

[4]
Computed powder diffractogram
Compound: Cs4Tl5Te6
Radiation: λ = 1.5418 Å (Cu Kα)
Structure: a cell relaxed with PBE
Neutral-atom scattering factors, no anomalous dispersion.

Structure:
```
Cs4Tl5Te6
1.0
2.848 -12.540 0.000
2.848 12.540 0.000
0.000 0.000 19.169
Cs Tl Te
8 10 12
Cartesian
2.848 12.001 9.585
2.848 11.689 14.581
2.848 8.428 5.939
2.848 8.414 18.222
2.848 -8.414 8.637
2.848 -8.428 15.524
2.848 -11.689 4.997
2.848 -12.001 0.000
2.848 8.439 12.013
2.848 4.490 11.992
2.848 4.192 5.379
2.848 4.101 18.684
2.848 1.013 12.853
2.848 -1.013 3.268
2.848 -4.101 9.099
2.848 -4.192 14.964
2.848 -4.490 2.408
2.848 -8.439 2.429
2.848 10.075 2.541
2.848 6.684 9.492
2.848 6.635 14.517
2.848 2.652 2.449
2.848 1.417 7.491
2.848 1.326 16.427
2.848 -1.326 6.842
2.848 -1.417 17.076
2.848 -2.652 12.033
2.848 -6.635 4.932
2.848 -6.684 19.077
2.848 -10.075 12.126
```

Main lines, low angle first (10° ≤ 2θ ≤ 90°):
2θ/deg  I_rel
21.21  56
24.09  28
24.54  22
26.54  30
27.50  100
27.93  25
29.83  19
31.42  81
32.69  69
45.14  25

[5]
Computed powder diffractogram
Compound: YScCd14
Radiation: λ = 1.5418 Å (Cu Kα)
Structure: a cell relaxed with PBE
Neutral-atom scattering factors, no anomalous dispersion.

Structure:
```
YScCd14
1.0
6.531 0.000 0.000
0.000 6.531 0.000
0.000 0.000 8.478
Y Sc Cd
1 1 14
Cartesian
0.000 0.000 0.000
3.265 3.265 0.000
0.000 0.000 4.239
0.000 3.265 0.000
0.000 3.265 4.239
1.662 1.662 2.152
1.662 1.662 6.327
1.662 4.869 2.152
1.662 4.869 6.327
3.265 0.000 0.000
3.265 0.000 4.239
3.265 3.265 4.239
4.869 1.662 2.152
4.869 1.662 6.327
4.869 4.869 2.152
4.869 4.869 6.327
```

Main lines, low angle first (10° ≤ 2θ ≤ 90°):
2θ/deg  I_rel
10.43  2
34.68  100
39.01  36
42.66  14
56.35  12
59.17  20
67.88  26
72.95  11
73.17  10
83.79  4

[6]
Computed powder diffractogram
Compound: KNaLi2S2O8
Radiation: λ = 1.5418 Å (Cu Kα)
Structure: a cell relaxed with PBE
Neutral-atom scattering factors, no anomalous dispersion.

Structure:
```
KNaLi2S2O8
1.0
5.004 0.000 0.000
0.000 7.861 0.000
0.000 0.000 19.308
K Na Li S O
4 4 8 8 32
Cartesian
0.009 0.440 1.391
2.493 7.421 11.045
2.510 3.490 17.916
4.995 4.371 8.263
0.076 1.942 5.350
2.426 5.919 15.004
2.578 1.988 13.957
4.928 5.873 4.304
0.032 5.850 17.607
0.182 0.779 16.615
2.320 7.082 6.962
2.470 2.012 7.953
2.534 5.942 1.701
2.683 3.151 2.692
4.822 4.710 12.346
4.971 1.919 11.354
0.044 4.305 1.143
0.138 7.614 13.649
2.364 0.247 3.996
2.458 3.556 10.796
2.546 7.487 18.165
2.640 4.178 5.658
4.866 3.683 15.312
4.960 0.374 8.511
0.100 0.513 9.988
0.546 1.563 7.824
0.624 6.379 12.960
0.643 0.944 12.897
0.644 6.995 8.065
0.728 7.649 15.019
0.993 3.630 11.129
1.154 4.159 5.602
1.348 3.702 15.255
1.508 4.232 1.476
1.773 0.213 5.365
1.858 0.866 17.718
1.859 6.918 3.243
1.878 1.482 3.306
1.955 6.298 17.478
2.402 7.348 0.334
2.601 3.418 9.320
3.048 2.368 11.484
3.126 5.413 6.348
3.144 2.987 6.411
3.146 4.796 11.243
3.230 4.143 4.289
3.495 0.301 8.178
3.656 7.633 13.706
3.849 0.228 4.052
4.010 7.560 17.832
4.275 3.718 13.942
4.360 3.065 1.589
4.361 4.874 16.064
4.380 2.448 16.002
4.457 5.493 1.830
4.904 4.443 18.974
```

Main lines, low angle first (10° ≤ 2θ ≤ 90°):
2θ/deg  I_rel
21.59  92
22.51  100
22.62  65
27.72  25
29.23  70
30.36  27
31.40  27
32.12  82
35.89  26
37.25  29

[7]
Computed powder diffractogram
Compound: Dy2Br3O
Radiation: λ = 1.5418 Å (Cu Kα)
Structure: a cell relaxed with PBE
Neutral-atom scattering factors, no anomalous dispersion.

Structure:
```
Dy2Br3O
1.0
9.352 -1.971 0.000
9.352 1.971 0.000
-6.788 0.000 9.346
Dy Br O
4 6 2
Cartesian
-1.841 0.000 4.296
5.372 0.000 2.074
6.544 0.000 7.272
13.758 0.000 5.050
3.155 0.000 0.085
2.808 0.000 3.566
3.629 0.000 7.091
8.288 0.000 2.255
9.108 0.000 5.781
8.761 0.000 9.261
-3.009 0.000 6.233
14.926 0.000 3.114
```

Main lines, low angle first (10° ≤ 2θ ≤ 90°):
2θ/deg  I_rel
26.52  81
27.92  69
30.82  62
30.99  42
32.43  100
34.97  45
39.71  36
41.05  56
43.05  37
46.06  37

[8]
Computed powder diffractogram
Compound: TmB3H12
Radiation: λ = 1.5418 Å (Cu Kα)
Structure: a cell relaxed with PBE
Neutral-atom scattering factors, no anomalous dispersion.

Structure:
```
TmB3H12
1.0
3.808 2.198 6.243
-3.808 2.198 6.243
0.000 -4.397 6.243
Tm B H
2 6 24
Cartesian
0.000 0.000 0.000
0.000 0.000 9.364
-1.913 1.084 7.804
-1.895 -1.115 10.925
0.018 -2.198 7.804
-0.018 2.198 10.925
1.895 1.115 7.804
1.913 -1.084 10.925
-3.117 0.940 8.001
-2.373 -2.230 10.728
-0.708 -2.322 6.820
-1.435 -0.032 7.606
-2.151 -0.424 9.941
-0.708 -2.075 8.787
-1.656 1.774 6.820
-2.365 -0.547 11.909
0.745 -3.170 8.001
-1.443 1.651 8.787
-0.690 -1.259 11.122
0.745 -1.227 7.606
-0.745 1.227 11.122
0.690 1.259 7.606
1.443 -1.651 9.941
-0.745 3.170 10.728
2.365 0.547 6.820
1.656 -1.774 11.909
0.708 2.075 9.941
2.151 0.424 8.787
1.435 0.032 11.122
0.708 2.322 11.909
2.373 2.230 8.001
3.117 -0.940 10.728
```

Main lines, low angle first (10° ≤ 2θ ≤ 90°):
2θ/deg  I_rel
16.44  100
23.33  62
28.70  14
33.23  20
37.29  47
41.03  24
50.83  20
53.76  14
64.71  8
72.31  9

[9]
Computed powder diffractogram
Compound: Ag2HgSbBr6
Radiation: λ = 1.5418 Å (Cu Kα)
Structure: a cell relaxed with PBE
Neutral-atom scattering factors, no anomalous dispersion.

Structure:
```
Ag2HgSbBr6
1.0
7.405 0.000 0.000
3.695 6.422 0.000
3.691 2.134 6.818
Ag Hg Sb Br
2 1 1 6
Cartesian
0.000 0.000 0.000
7.404 4.283 4.715
11.102 6.421 5.031
3.703 2.143 1.865
6.228 6.177 6.765
4.902 4.155 3.343
6.330 2.323 6.765
8.547 6.530 3.354
9.617 4.330 6.759
8.772 2.174 3.347
```

Main lines, low angle first (10° ≤ 2θ ≤ 90°):
2θ/deg  I_rel
16.31  25
22.23  68
24.02  31
27.40  100
32.96  35
35.79  66
41.19  36
42.25  73
46.90  31
70.65  20

[10]
Computed powder diffractogram
Compound: AcSn5Ir2
Radiation: λ = 1.5418 Å (Cu Kα)
Structure: a cell relaxed with PBE
Neutral-atom scattering factors, no anomalous dispersion.

Structure:
```
AcSn5Ir2
1.0
4.482 0.000 0.000
0.000 8.322 0.000
0.000 0.000 10.564
Ac Sn Ir
2 10 4
Cartesian
0.000 0.000 0.000
2.241 4.161 5.282
0.000 1.616 3.621
0.000 1.616 6.942
0.000 4.161 0.000
0.000 6.706 3.621
0.000 6.706 6.942
2.241 0.000 5.282
2.241 2.545 1.660
2.241 2.545 8.903
2.241 5.777 1.660
2.241 5.777 8.903
0.000 4.161 2.637
0.000 4.161 7.926
2.241 0.000 2.645
2.241 0.000 7.919
```

Main lines, low angle first (10° ≤ 2θ ≤ 90°):
2θ/deg  I_rel
21.35  24
28.23  68
30.51  100
32.33  96
38.15  46
40.24  58
40.45  75
41.13  23
41.95  59
58.38  52